Diffraction record for NaFeS2O8. The X-ray diffraction stick pattern is simulated, not measured: it uses a GGA+U-relaxed structure and Cu Kα.
Lines closer than 0.1° are merged.

Peak list (10 most intense, 2θ from 15° to 90°, sorted by position)
- hkl 1 1 1, 21.01 deg, rel. 40
- hkl 3 0 1, 21.18 deg, rel. 47
- hkl 2 1 1, 23.57 deg, rel. 42
- hkl 4 0 1, 26.75 deg, rel. 47
- hkl 1 1 2, 28.00 deg, rel. 14
- hkl 2 1 2, 30.00 deg, rel. 100
- hkl 0 2 0, 34.51 deg, rel. 24
- hkl 1 1 3, 37.02 deg, rel. 23
- hkl 3 2 3, 51.57 deg, rel. 12
- hkl 7 2 1, 57.91 deg, rel. 12

```
NaFeS2O8
1.0
14.5224 0.0000 0.0000
0.0000 5.1972 0.0000
0.0000 0.0000 8.3990
Na Fe S O
4 4 8 32
Cartesian
0.9852 1.2993 0.7677
6.2759 3.8979 4.9672
8.2464 1.2993 3.4317
13.5371 3.8979 7.6312
2.2064 1.2993 4.1815
5.0547 3.8979 8.3810
9.4676 1.2993 0.0180
12.3159 3.8979 4.2175
0.7841 3.8979 2.5362
2.4736 3.8979 6.2261
4.7876 1.2993 2.0267
6.4771 1.2993 6.7356
8.0453 3.8979 1.6633
9.7348 3.8979 6.3723
12.0488 1.2993 2.1728
13.7383 1.2993 5.8628
0.3546 1.2993 4.9170
0.3715 3.8979 1.1304
1.0538 3.8979 6.4927
1.6210 2.6786 2.7752
1.6210 5.1172 2.7752
2.9116 2.6942 5.4418
2.9116 5.1016 5.4418
3.2339 3.8979 7.5134
4.0273 1.2993 3.3139
4.3496 0.0956 1.2424
4.3496 2.5030 1.2424
5.6402 0.0800 6.9747
5.6402 2.5186 6.9747
6.2074 1.2993 2.2932
6.8897 1.2993 5.3299
6.9066 3.8979 0.7175
7.6158 1.2993 7.6814
7.6327 3.8979 3.0691
8.3150 3.8979 6.1057
8.8822 2.6786 1.4243
8.8822 5.1172 1.4243
10.1728 2.6942 7.1566
10.1728 5.1016 7.1566
10.4950 3.8979 5.0850
11.2885 1.2993 0.8856
11.6108 0.0956 2.9571
11.6108 2.5030 2.9571
12.9014 0.0800 5.6238
12.9014 2.5186 5.6238
13.4686 1.2993 1.9062
14.1509 1.2993 7.2685
14.1678 3.8979 3.4820
```